# K4Ce3NpTe8
Calculated powder diffractogram, CuKα. Input: a cell relaxed with PBE.

Peak list (12 most intense, 2θ from 10° to 90°, by angle)
two_theta	d/Å	I_rel
10.8	8.215	41
26.5	3.364	100
33.9	2.647	17
36.8	2.444	35
38.9	2.318	38
40.4	2.231	11
46.4	1.956	11
47.6	1.909	20
54.6	1.682	11
60.2	1.537	12
63.1	1.473	17
69.0	1.361	11

Structure:
abc: 9.805 9.805 9.805
angles: 56.43 56.43 56.43
Positions (direct):
K 0.000 0.000 0.000
K 0.000 0.500 0.500
K 0.500 0.000 0.500
K 0.500 0.500 0.000
Ce 0.000 0.000 0.500
Ce 0.000 0.500 0.000
Ce 0.500 0.000 0.000
Np 0.500 0.500 0.500
Te 0.238 0.238 0.238
Te 0.240 0.736 0.736
Te 0.264 0.264 0.760
Te 0.264 0.760 0.264
Te 0.736 0.240 0.736
Te 0.736 0.736 0.240
Te 0.760 0.264 0.264
Te 0.762 0.762 0.762